1.
Simulated powder diffractogram of Sr8RuRh3O16 for λ = 1.5418 Å (Cu Kα), from a cell relaxed with GGA-PBE.
Lines closer than 0.1° are merged.

Crystal structure
```
28
Lattice="-2.7544 2.7544 13.0994 2.7544 -2.7544 13.0994 2.7544 2.7544 -13.0994" Properties=species:S:1:pos:R:3 pbc="T T T"
Sr 2.7544 0.0000 1.9484
Sr 0.0000 0.0000 4.5823
Sr 0.0000 0.0000 8.5172
Sr 2.7544 0.0000 11.1510
Sr 0.0000 2.7544 1.9338
Sr 0.0000 0.0000 17.6815
Sr 0.0000 0.0000 21.6165
Sr 0.0000 2.7544 11.1656
Ru 0.0000 2.7544 6.5497
Rh 0.0000 0.0000 0.0000
Rh 2.7544 0.0000 6.5497
Rh 0.0000 0.0000 13.0994
O 1.6777 1.6327 -6.5496
O 0.0000 0.0000 2.1060
O 2.7544 0.0000 4.4382
O 3.8219 1.0676 0.0012
O 1.0676 1.6869 -0.0012
O 2.7544 0.0000 8.6612
O 0.0000 0.0000 10.9934
O 1.0767 1.1217 6.5498
O 1.1217 -1.0767 19.6490
O 0.0000 0.0000 15.2054
O 0.0000 2.7544 4.4851
O 1.6868 1.0675 13.0982
O -1.0675 1.6868 13.1006
O 0.0000 2.7544 8.6143
O 0.0000 0.0000 24.0928
O 1.6327 3.8311 6.5496
```

Peak list (12 most intense, 15° ≤ 2θ ≤ 90°, sorted by position)
- 30.76°, 2.907 Å, rel. 100
- 32.51°, 2.754 Å, rel. 66
- 41.36°, 2.183 Å, rel. 19
- 41.54°, 2.174 Å, rel. 11
- 46.63°, 1.948 Å, rel. 31
- 53.56°, 1.711 Å, rel. 23
- 56.91°, 1.618 Å, rel. 39
- 64.07°, 1.453 Å, rel. 18
- 68.08°, 1.377 Å, rel. 9
- 76.55°, 1.245 Å, rel. 7
- 77.49°, 1.232 Å, rel. 11
- 82.88°, 1.165 Å, rel. 8

2.
Simulated powder diffractogram of RhSO for λ = 1.5418 Å (Cu Kα), from a cell relaxed with GGA-PBE.
Lines closer than 0.1° are merged.

Crystal structure
```
18
Lattice="5.3361 0.0000 0.0000 0.0000 3.3743 0.0000 -1.4527 0.0000 13.5039" Properties=species:S:1:pos:R:3 pbc="T T T"
Rh 0.0000 0.0000 0.0000
Rh -0.4548 0.0000 4.4697
Rh -0.5485 0.0000 8.9129
Rh 2.1954 1.6872 2.3110
Rh 1.5987 1.6872 11.3128
Rh 2.5117 1.6872 6.4957
S 0.1288 1.6872 3.1134
S -0.5552 1.6872 12.1605
S 0.7834 1.6872 8.0941
S 1.7496 0.0000 5.2383
S 4.3321 1.6872 1.3279
S 3.6827 1.6872 10.2933
O 1.7409 0.0000 1.1679
O 0.9731 0.0000 10.3064
O 2.7280 0.0000 3.7897
O 2.1630 0.0000 12.4123
O 3.2148 0.0000 7.6351
O 4.4045 1.6872 5.6846
```

Peak list (12 most intense, 15° ≤ 2θ ≤ 90°, sorted by position)
- 24.53°, 3.629 Å, rel. 55
- 27.32°, 3.265 Å, rel. 71
- 31.42°, 2.847 Å, rel. 47
- 33.18°, 2.700 Å, rel. 100
- 33.78°, 2.653 Å, rel. 31
- 44.37°, 2.042 Å, rel. 12
- 46.42°, 1.956 Å, rel. 24
- 49.70°, 1.834 Å, rel. 22
- 50.22°, 1.817 Å, rel. 35
- 53.31°, 1.718 Å, rel. 33
- 54.38°, 1.687 Å, rel. 22
- 61.91°, 1.499 Å, rel. 14